Diffraction record for La2TbSmEr2. The powder diffraction line list is simulated, not measured: it uses the PBE geometry in Alexandria and copper Kα.
Neutral-atom scattering factors, no anomalous dispersion.

Largest 12 diffraction maxima, sorted by position, 5 to 70 degrees two-theta:
(hkl), Position (°2θ), d_spacing, I (rel.)
1 0 2, 29.9, 2.987, 19.0
1 3 0, 30.9, 2.898, 100.0
0 2 2, 31.0, 2.881, 36.5
1 1 2, 31.2, 2.864, 87.9
2 0 0, 31.4, 2.848, 55.6
1 3 1, 33.5, 2.678, 14.2
0 4 2, 44.2, 2.049, 15.6
2 2 2, 44.7, 2.025, 26.7
2 4 2, 55.2, 1.663, 16.2
3 3 0, 55.6, 1.654, 19.1
3 1 2, 55.8, 1.647, 17.1
1 3 4, 61.8, 1.501, 13.3

Cell and atoms:
Cell lengths 5.6962, 10.0975, 7.0167 Å; angles 90.00, 90.00, 90.00 degrees
Fractional coordinates of all 12 atoms:
La 0.0000 0.0178 0.0000
La 0.0000 0.9822 0.5000
La 0.5000 0.1914 0.2641
La 0.5000 0.8086 0.7641
Tb 0.5000 0.4842 0.9472
Tb 0.5000 0.5158 0.4472
Sm 0.0000 0.3203 0.6867
Sm 0.0000 0.6797 0.1867
Er 0.0000 0.3605 0.1946
Er 0.0000 0.6395 0.6946
Er 0.5000 0.1463 0.7551
Er 0.5000 0.8537 0.2551